Structure and calculated powder X-ray diffraction pattern of FeSnO6 (a cell relaxed with PBE+U; Cu Kα (weighted mean of Kα1 and Kα2)).
Neutral-atom scattering factors, no anomalous dispersion.

Atomic structure:
```
data_FeSnO6
_cell_length_a 7.699
_cell_length_b 7.699
_cell_length_c 7.699
_cell_angle_alpha 90.00
_cell_angle_beta 90.00
_cell_angle_gamma 90.00
_symmetry_space_group_name_H-M 'F m -3 m'
_symmetry_Int_Tables_number 225
_symmetry_space_group_name_Hall '-F 4 2 3'
loop_
_atom_site_label
_atom_site_fract_x
_atom_site_fract_y
_atom_site_fract_z
Fe1 0.000 0.000 0.000
Sn1 0.000 0.000 0.500
O1 0.000 0.000 0.237
```

Main lines, low angle first (2θ = 15–90°):
hkl  2theta  d/Å  intensity
1 1 1  19.97  4.445  10
2 0 0  23.10  3.850  100
2 2 0  32.90  2.722  38
3 1 1  38.79  2.321  10
4 0 0  47.22  1.925  22
4 2 0  53.20  1.722  38
4 2 2  58.75  1.572  15
4 4 0  69.00  1.361  13
6 0 0  73.85  1.283  17
6 2 0  78.58  1.217  7